Calculated powder X-ray diffraction pattern
Compound: Cs3ReBr8
Radiation: λ = 1.5418 Å (Cu Kα)
Structure: a cell relaxed with GGA-PBE

Top 10 peaks for 10 to 90 degrees two-theta, in order of rising 2θ:
2θ 13.19, d 6.711, rel. 41, (1 0 1); 2θ 16.43, d 5.394, rel. 33, (1 1 0); 2θ 21.13, d 4.204, rel. 78, (2 0 1); 2θ 26.57, d 3.355, rel. 100, (2 0 2); 2θ 30.15, d 2.964, rel. 46, (3 0 1); 2θ 31.40, d 2.849, rel. 31, (2 1 2); 2θ 33.22, d 2.697, rel. 48, (2 2 0); 2θ 33.85, d 2.648, rel. 32, (2 0 3); 2θ 38.23, d 2.354, rel. 35, (2 2 2); 2θ 50.78, d 1.798, rel. 34, (3 3 0)

Structural model:
```
Cs3ReBr8
1.0
10.789 0.000 0.000
-5.394 9.343 0.000
0.000 0.000 9.645
Cs Re Br
6 2 16
Direct
0.153 0.306 0.000 Cs
0.153 0.847 0.000 Cs
0.306 0.153 0.500 Cs
0.694 0.847 0.000 Cs
0.847 0.153 0.500 Cs
0.847 0.694 0.500 Cs
0.333 0.667 0.437 Re
0.667 0.333 0.937 Re
0.000 0.000 0.253 Br
0.000 0.000 0.753 Br
0.114 0.557 0.288 Br
0.224 0.449 0.591 Br
0.224 0.776 0.591 Br
0.333 0.667 0.926 Br
0.443 0.557 0.288 Br
0.443 0.886 0.288 Br
0.449 0.224 0.091 Br
0.551 0.776 0.591 Br
0.557 0.114 0.788 Br
0.557 0.443 0.788 Br
0.667 0.333 0.426 Br
0.776 0.224 0.091 Br
0.776 0.551 0.091 Br
0.886 0.443 0.788 Br
```